No. 1
This entry pairs a crystal structure of Tb9Tm2Th with its computed powder diffractogram. Radiation: Cu Ka. Structure: a structure optimized by DFT (GGA-PBE).

Cell and atoms:
```
Tb9Tm2Th
1.0
5.0246 0.0000 0.0000
0.0000 5.0246 0.0000
0.0000 0.0000 15.0570
Tb Tm Th
9 2 1
direct
0.0000 0.0000 0.0000
0.0000 0.0000 0.3358
0.0000 0.0000 0.6642
0.0000 0.5000 0.1659
0.0000 0.5000 0.5000
0.0000 0.5000 0.8341
0.5000 0.0000 0.1659
0.5000 0.0000 0.5000
0.5000 0.0000 0.8341
0.5000 0.5000 0.3338
0.5000 0.5000 0.6662
0.5000 0.5000 0.0000
```

Most intense lines, 15° ≤ 2θ ≤ 90°, sorted by position:
2θ 17.66, I 1
2θ 30.83, I 100
2θ 35.75, I 51
2θ 51.46, I 36
2θ 61.20, I 43
2θ 64.24, I 12
2θ 75.75, I 6
2θ 83.98, I 18
2θ 86.69, I 17

***

No. 2
This entry pairs a crystal structure of Tb2Tm5Th2 with its computed powder diffractogram. Radiation: Cu Ka. Structure: a structure optimized by DFT (GGA-PBE).

Cell and atoms:
```
Tb2Tm5Th2
1.0
3.5714 0.0000 0.0000
-1.7844 7.1185 0.0000
-0.0001 -0.9954 11.5241
Tb Tm Th
2 5 2
direct
0.0751 0.1511 0.3352
0.9249 0.8489 0.6648
0.0000 0.0000 0.0000
0.2094 0.4185 0.6094
0.3887 0.7774 0.1845
0.6113 0.2226 0.8155
0.7906 0.5815 0.3906
0.3081 0.6164 0.8904
0.6919 0.3836 0.1096
```

Most intense lines, 15° ≤ 2θ ≤ 90°, sorted by position:
2θ 30.72, I 57
2θ 31.96, I 100
2θ 32.52, I 39
2θ 35.25, I 78
2θ 39.96, I 20
2θ 51.15, I 15
2θ 53.16, I 20
2θ 59.73, I 15
2θ 60.86, I 17
2θ 61.92, I 21

***

No. 3
This entry pairs a crystal structure of Tb8TmTh4 with its computed powder diffractogram. Radiation: Cu Ka. Structure: a structure optimized by DFT (GGA-PBE).

Cell and atoms:
```
Tb8TmTh4
1.0
3.6938 2.1326 8.9580
-3.6938 2.1326 8.9580
0.0000 -4.2652 8.9580
Tb Tm Th
8 1 4
direct
0.1934 0.7506 0.7506
0.2200 0.2200 0.2200
0.2494 0.2494 0.8066
0.2494 0.8066 0.2494
0.7506 0.1934 0.7506
0.7506 0.7506 0.1934
0.7800 0.7800 0.7800
0.8066 0.2494 0.2494
0.5000 0.5000 0.5000
0.0000 0.0000 0.0000
0.0000 0.5000 0.5000
0.5000 0.0000 0.5000
0.5000 0.5000 0.0000
```

Most intense lines, 15° ≤ 2θ ≤ 90°, sorted by position:
2θ 28.09, I 23
2θ 29.92, I 29
2θ 30.96, I 100
2θ 32.57, I 43
2θ 38.87, I 33
2θ 49.34, I 30
2θ 52.72, I 18
2θ 58.79, I 23
2θ 59.40, I 14
2θ 80.76, I 10

***

No. 4
This entry pairs a crystal structure of TbTm2Th4 with its computed powder diffractogram. Radiation: Cu Ka. Structure: a structure optimized by DFT (GGA-PBE).

Cell and atoms:
```
TbTm2Th4
1.0
3.3373 -5.9710 0.0000
3.3373 5.9710 0.0000
-0.0152 0.0000 11.6262
Tb Tm Th
2 4 8
direct
0.1602 0.8398 0.7500
0.8398 0.1602 0.2500
0.1279 0.8721 0.2500
0.4893 0.5107 0.7500
0.5107 0.4893 0.2500
0.8721 0.1279 0.7500
0.2302 0.2301 0.9998
0.2301 0.2302 0.4998
0.2746 0.7250 0.0144
0.2750 0.7254 0.4856
0.7250 0.2746 0.5144
0.7254 0.2750 0.9856
0.7698 0.7699 0.0002
0.7699 0.7698 0.5002
```

Most intense lines, 15° ≤ 2θ ≤ 90°, sorted by position:
2θ 15.24, I 26
2θ 29.93, I 18
2θ 30.33, I 67
2θ 30.73, I 100
2θ 30.90, I 18
2θ 33.75, I 43
2θ 34.44, I 88
2θ 44.01, I 28
2θ 56.07, I 29
2θ 56.59, I 15

***

No. 5
This entry pairs a crystal structure of Tb2Tm3Th6 with its computed powder diffractogram. Radiation: Cu Ka. Structure: a structure optimized by DFT (GGA-PBE).

Cell and atoms:
```
Tb2Tm3Th6
1.0
1.7820 1.0288 31.5785
-1.7820 1.0288 31.5785
0.0000 -2.0576 31.5785
Tb Tm Th
2 3 6
direct
0.0462 0.0462 0.0462
0.9538 0.9538 0.9538
0.2266 0.2266 0.2266
0.5000 0.5000 0.5000
0.7734 0.7734 0.7734
0.1366 0.1366 0.1366
0.3184 0.3184 0.3184
0.4099 0.4099 0.4099
0.5901 0.5901 0.5901
0.6816 0.6816 0.6816
0.8634 0.8634 0.8634
```

Most intense lines, 15° ≤ 2θ ≤ 90°, sorted by position:
2θ 30.77, I 100
2θ 31.15, I 32
2θ 35.79, I 67
2θ 51.27, I 25
2θ 51.77, I 23
2θ 61.00, I 15
2θ 61.22, I 29
2θ 61.67, I 14
2θ 64.10, I 13
2θ 83.65, I 12

***

No. 6
This entry pairs a crystal structure of Tb3Y6Th2 with its computed powder diffractogram. Radiation: Cu Ka. Structure: a structure optimized by DFT (GGA-PBE).

Cell and atoms:
```
Tb3Y6Th2
1.0
5.9308 0.0000 0.0000
0.0000 12.5824 0.0000
0.0000 0.0000 10.2047
Tb Y Th
6 12 4
direct
0.0000 0.0000 0.0000
0.0000 0.5000 0.3184
0.0000 0.5000 0.6816
0.5000 0.0000 0.1816
0.5000 0.0000 0.8184
0.5000 0.5000 0.5000
0.1968 0.2993 0.5000
0.2253 0.2821 0.1609
0.2253 0.2821 0.8391
0.2747 0.7821 0.3391
0.2747 0.7821 0.6609
0.3032 0.7993 0.0000
0.6968 0.2007 0.0000
0.7253 0.2179 0.3391
0.7253 0.2179 0.6609
0.7747 0.7179 0.1609
0.7747 0.7179 0.8391
0.8032 0.7007 0.5000
0.2411 0.5548 0.0000
0.2589 0.0548 0.5000
0.7411 0.9452 0.5000
0.7589 0.4452 0.0000
```

Most intense lines, 15° ≤ 2θ ≤ 90°, sorted by position:
2θ 17.38, I 23
2θ 24.07, I 26
2θ 27.12, I 28
2θ 27.47, I 33
2θ 28.37, I 31
2θ 31.13, I 57
2θ 32.22, I 100
2θ 33.55, I 35
2θ 33.93, I 27
2θ 36.82, I 25